[1]
Starting from a GGA-PBE-relaxed structure, the powder XRD pattern of DyMgInPd was simulated for copper Kα.
Neutral-atom scattering factors, no anomalous dispersion.

Atomic structure:
Cell lengths 10.5868, 5.1570, 8.2073 Å; angles 90.00, 126.50, 90.00 degrees
Positions (direct):
Dy (0.0393, 0.0000, 0.2861)
Dy (0.4607, 0.5000, 0.7139)
Dy (0.5393, 0.5000, 0.2861)
Dy (0.9607, 0.0000, 0.7139)
Mg (0.1956, 0.5000, 0.8441)
Mg (0.3044, 0.0000, 0.1559)
Mg (0.6956, 0.0000, 0.8441)
Mg (0.8044, 0.5000, 0.1559)
In (0.1773, 0.5000, 0.1873)
In (0.3227, 0.0000, 0.8127)
In (0.6773, 0.0000, 0.1873)
In (0.8227, 0.5000, 0.8127)
Pd (0.1197, 0.5000, 0.4736)
Pd (0.3803, 0.0000, 0.5264)
Pd (0.6197, 0.0000, 0.4736)
Pd (0.8803, 0.5000, 0.5264)

Largest 10 diffraction maxima, in order of falling intensity, 10 to 90 degrees two-theta:
2θ/deg, d (Å), I/Imax
36.14, 2.486, 100
34.79, 2.579, 90
28.35, 3.148, 87
37.96, 2.371, 52
31.07, 2.879, 48
33.94, 2.642, 45
13.42, 6.597, 37
51.89, 1.762, 33
49.39, 1.845, 31
39.76, 2.267, 30

---

[2]
Starting from a GGA-PBE-relaxed structure, the powder XRD pattern of DyTmFe8B2 was simulated for copper Kα.
Neutral-atom scattering factors, no anomalous dispersion.

Atomic structure:
Cell lengths 5.0399, 5.0399, 7.0228 Å; angles 90.00, 90.00, 120.00 degrees
Positions (direct):
Dy (0.0000, 0.0000, 0.0000)
Tm (0.0000, 0.0000, 0.5000)
Fe (0.0000, 0.5000, 0.2144)
Fe (0.0000, 0.5000, 0.7856)
Fe (0.3333, 0.6667, 0.5000)
Fe (0.5000, 0.0000, 0.2144)
Fe (0.5000, 0.0000, 0.7856)
Fe (0.5000, 0.5000, 0.2144)
Fe (0.5000, 0.5000, 0.7856)
Fe (0.6667, 0.3333, 0.5000)
B (0.3333, 0.6667, 0.0000)
B (0.6667, 0.3333, 0.0000)

Largest 10 diffraction maxima, in order of falling intensity, 10 to 90 degrees two-theta:
2θ/deg, d (Å), I/Imax
44.24, 2.047, 100
32.73, 2.736, 98
41.37, 2.182, 72
35.63, 2.520, 34
62.17, 1.493, 31
70.00, 1.344, 24
20.35, 4.365, 21
75.45, 1.260, 19
68.60, 1.368, 19
64.71, 1.441, 15

---

[3]
Starting from a GGA-PBE-relaxed structure, the powder XRD pattern of K2Os2Se5 was simulated for copper Kα.
Neutral-atom scattering factors, no anomalous dispersion.

Atomic structure:
Cell lengths 6.9166, 6.9166, 11.6001 Å; angles 104.73, 104.73, 70.61 degrees
Positions (direct):
K (0.0564, 0.4180, 0.3188)
K (0.4180, 0.0564, 0.8188)
K (0.5820, 0.9436, 0.1812)
K (0.9436, 0.5820, 0.6812)
Os (0.2492, 0.5655, 0.0594)
Os (0.4345, 0.7508, 0.4406)
Os (0.5655, 0.2492, 0.5594)
Os (0.7508, 0.4345, 0.9406)
Se (0.1280, 0.2667, 0.0285)
Se (0.2039, 0.7961, 0.2500)
Se (0.2667, 0.1280, 0.5285)
Se (0.3705, 0.6294, 0.8982)
Se (0.3706, 0.6295, 0.6018)
Se (0.6294, 0.3705, 0.3982)
Se (0.6295, 0.3706, 0.1018)
Se (0.7333, 0.8720, 0.4715)
Se (0.7961, 0.2039, 0.7500)
Se (0.8720, 0.7333, 0.9715)

Largest 10 diffraction maxima, in order of falling intensity, 10 to 90 degrees two-theta:
2θ/deg, d (Å), I/Imax
14.64, 6.053, 100
13.82, 6.410, 61
16.08, 5.511, 57
30.46, 2.935, 33
26.18, 3.405, 28
32.90, 2.722, 25
23.16, 3.840, 24
39.58, 2.277, 23
47.04, 1.932, 23
34.69, 2.586, 22

---

[4]
Starting from a GGA-PBE-relaxed structure, the powder XRD pattern of NbZn2Ni was simulated for copper Kα.
Neutral-atom scattering factors, no anomalous dispersion.

Atomic structure:
Cell lengths 6.0856, 6.0856, 6.0856 Å; angles 90.00, 90.00, 90.00 degrees
Positions (direct):
Nb (0.0000, 0.0000, 0.0000)
Nb (0.0000, 0.5000, 0.5000)
Nb (0.5000, 0.0000, 0.5000)
Nb (0.5000, 0.5000, 0.0000)
Zn (0.0000, 0.0000, 0.5000)
Zn (0.0000, 0.5000, 0.0000)
Zn (0.2500, 0.2500, 0.2500)
Zn (0.2500, 0.7500, 0.7500)
Zn (0.5000, 0.0000, 0.0000)
Zn (0.5000, 0.5000, 0.5000)
Zn (0.7500, 0.2500, 0.7500)
Zn (0.7500, 0.7500, 0.2500)
Ni (0.2500, 0.2500, 0.7500)
Ni (0.2500, 0.7500, 0.2500)
Ni (0.7500, 0.2500, 0.2500)
Ni (0.7500, 0.7500, 0.7500)

Largest 7 diffraction maxima, in order of falling intensity, 10 to 90 degrees two-theta:
2θ/deg, d (Å), I/Imax
41.99, 2.152, 100
76.72, 1.242, 31
60.89, 1.521, 16
25.35, 3.514, 2
29.35, 3.043, 1
49.69, 1.835, 1
69.02, 1.361, 1

---

[5]
Starting from a GGA-PBE-relaxed structure, the powder XRD pattern of BaNbN2O was simulated for copper Kα.
Neutral-atom scattering factors, no anomalous dispersion.

Atomic structure:
Cell lengths 5.9406, 5.9406, 7.1955 Å; angles 90.00, 90.00, 120.00 degrees
Positions (direct):
Ba (0.0000, 0.6753, 0.3333)
Ba (0.3247, 0.3247, 0.0000)
Ba (0.6753, 0.0000, 0.6667)
Nb (0.0000, 0.6551, 0.8333)
Nb (0.3449, 0.3449, 0.5000)
Nb (0.6551, 0.0000, 0.1667)
N (0.1621, 0.5027, 0.6713)
N (0.3406, 0.8379, 0.0047)
N (0.4973, 0.6594, 0.3380)
N (0.5027, 0.1621, 0.3287)
N (0.6594, 0.4973, 0.6620)
N (0.8379, 0.3406, 0.9953)
O (0.0000, 0.1608, 0.3333)
O (0.1608, 0.0000, 0.6667)
O (0.8392, 0.8392, 0.0000)

Largest 10 diffraction maxima, in order of falling intensity, 10 to 90 degrees two-theta:
2θ/deg, d (Å), I/Imax
30.09, 2.970, 100
30.32, 2.948, 99
43.24, 2.093, 58
53.57, 1.711, 39
53.43, 1.715, 20
54.00, 1.698, 19
62.54, 1.485, 18
63.06, 1.474, 18
71.44, 1.320, 17
71.07, 1.326, 17

---

[6]
Starting from a GGA-PBE-relaxed structure, the powder XRD pattern of HfTl2S3 was simulated for copper Kα.
Neutral-atom scattering factors, no anomalous dispersion.

Atomic structure:
Cell lengths 6.9025, 7.5892, 8.6258 Å; angles 89.87, 72.26, 63.11 degrees
Positions (direct):
Hf (0.0825, 0.0566, 0.3120)
Hf (0.9175, 0.9434, 0.6880)
Tl (0.2211, 0.1921, 0.8855)
Tl (0.3896, 0.4663, 0.2860)
Tl (0.6104, 0.5337, 0.7140)
Tl (0.7789, 0.8079, 0.1145)
S (0.0146, 0.3768, 0.2463)
S (0.2660, 0.8139, 0.0719)
S (0.2744, 0.9357, 0.5153)
S (0.7256, 0.0643, 0.4847)
S (0.7340, 0.1861, 0.9281)
S (0.9854, 0.6232, 0.7537)

Largest 10 diffraction maxima, in order of falling intensity, 10 to 90 degrees two-theta:
2θ/deg, d (Å), I/Imax
25.95, 3.433, 100
24.67, 3.609, 74
25.65, 3.474, 70
27.49, 3.244, 42
27.19, 3.280, 41
31.87, 2.808, 39
20.16, 4.405, 33
22.07, 4.028, 31
21.92, 4.055, 29
40.38, 2.234, 27